(1)
This entry pairs a crystal structure of TeS2Cl with its computed powder X-ray diffraction pattern. Radiation: copper Kα. Structure: a PBE-relaxed structure.
Lines closer than 0.1° are merged.

Cell and atoms:
a = 5.2367 Å, b = 5.7119 Å, c = 11.5647 Å
α = 85.58°, β = 77.48°, γ = 67.63°
Element x y z (fractional)
Te  0.0000  0.0000  0.0000
Te  0.5000  0.5000  0.0000
S  0.0661  0.3649  0.5710
S  0.1381  0.8617  0.4300
S  0.8619  0.1383  0.5700
S  0.9339  0.6351  0.4290
Cl  0.3454  0.7501  0.8099
Cl  0.6546  0.2499  0.1901

Main lines, low angle first (10° ≤ 2θ ≤ 90°):
- 2θ 15.7, rel. 69, hkl 0 0 2
- 2θ 20.0, rel. 100, hkl 1 1 1
- 2θ 22.8, rel. 16, hkl 1 1 -1
- 2θ 23.0, rel. 22, hkl 1 1 2
- 2θ 31.7, rel. 45, hkl -1 1 1
- 2θ 34.9, rel. 14, hkl 0 2 -1
- 2θ 39.9, rel. 13, hkl 0 0 5
- 2θ 40.5, rel. 11, hkl 2 2 0
- 2θ 40.7, rel. 17, hkl 2 2 2
- 2θ 40.8, rel. 26, hkl 1 -1 4

***

(2)
This entry pairs a crystal structure of Te2SCl with its computed powder X-ray diffraction pattern. Radiation: copper Kα. Structure: a PBE-relaxed structure.
Lines closer than 0.1° are merged.

Cell and atoms:
a = 8.8097 Å, b = 5.5840 Å, c = 9.4777 Å
α = 90.00°, β = 90.04°, γ = 90.00°
Element x y z (fractional)
Te  0.0972  0.2323  0.1125
Te  0.0972  0.7677  0.6125
Te  0.3726  0.1680  0.3411
Te  0.3726  0.8320  0.8411
Te  0.6274  0.1680  0.1589
Te  0.6274  0.8320  0.6589
Te  0.9028  0.2323  0.3875
Te  0.9028  0.7677  0.8875
S  0.0980  0.2304  0.5816
S  0.0980  0.7696  0.0816
S  0.9020  0.2304  0.9184
S  0.9020  0.7696  0.4184
Cl  0.3531  0.3380  0.8615
Cl  0.3531  0.6620  0.3615
Cl  0.6469  0.3380  0.6385
Cl  0.6469  0.6620  0.1385

Main lines, low angle first (10° ≤ 2θ ≤ 90°):
- 2θ 18.4, rel. 52, hkl 0 1 1
- 2θ 21.3, rel. 13, hkl 1 0 2
- 2θ 27.5, rel. 25, hkl 2 1 1
- 2θ 27.6, rel. 100, hkl 2 0 -2
- 2θ 32.1, rel. 26, hkl 0 2 0
- 2θ 38.0, rel. 15, hkl 0 0 4
- 2θ 38.6, rel. 21, hkl 2 1 -3
- 2θ 39.4, rel. 14, hkl 1 0 4
- 2θ 41.0, rel. 15, hkl 4 0 0
- 2θ 42.8, rel. 32, hkl 2 2 -2

***

(3)
This entry pairs a crystal structure of ThS5Cl with its computed powder X-ray diffraction pattern. Radiation: copper Kα. Structure: a PBE-relaxed structure.
Lines closer than 0.1° are merged.

Cell and atoms:
a = 5.3537 Å, b = 5.6328 Å, c = 7.1382 Å
α = 74.93°, β = 86.46°, γ = 89.33°
Element x y z (fractional)
Th  0.0000  0.0000  0.0000
S  0.1479  0.0594  0.5125
S  0.4943  0.1685  0.0193
S  0.5003  0.8592  0.9136
S  0.9052  0.8508  0.4157
S  0.9610  0.3093  0.6264
Cl  0.9848  0.4860  0.0751

Main lines, low angle first (10° ≤ 2θ ≤ 90°):
- 2θ 12.9, rel. 100, hkl 0 0 1
- 2θ 16.3, rel. 80, hkl 0 1 0
- 2θ 16.6, rel. 82, hkl 1 0 0
- 2θ 18.0, rel. 36, hkl 0 1 1
- 2θ 23.3, rel. 30, hkl 1 -1 0
- 2θ 24.1, rel. 19, hkl 1 1 1
- 2θ 25.9, rel. 45, hkl 0 0 2
- 2θ 33.5, rel. 25, hkl 2 0 0
- 2θ 34.3, rel. 25, hkl 0 1 -2
- 2θ 36.0, rel. 19, hkl 1 2 1

***

(4)
This entry pairs a crystal structure of ThS6Cl12 with its computed powder X-ray diffraction pattern. Radiation: copper Kα. Structure: a PBE-relaxed structure.
Lines closer than 0.1° are merged.

Cell and atoms:
a = 8.6728 Å, b = 10.0164 Å, c = 10.2097 Å
α = 64.71°, β = 73.65°, γ = 73.89°
Element x y z (fractional)
Th  0.0000  0.0000  0.0000
S  0.1794  0.2509  0.1499
S  0.2073  0.0821  0.3633
S  0.4288  0.2459  0.1054
S  0.5712  0.7541  0.8946
S  0.7927  0.9179  0.6367
S  0.8206  0.7491  0.8501
Cl  0.0646  0.4452  0.1856
Cl  0.1280  0.2433  0.8074
Cl  0.1895  0.1982  0.4891
Cl  0.1999  0.8288  0.8559
Cl  0.2247  0.9386  0.1709
Cl  0.4695  0.3972  0.8958
Cl  0.5305  0.6028  0.1042
Cl  0.7753  0.0614  0.8291
Cl  0.8001  0.1712  0.1441
Cl  0.8105  0.8018  0.5109
Cl  0.8720  0.7567  0.1926
Cl  0.9354  0.5548  0.8144

Main lines, low angle first (10° ≤ 2θ ≤ 90°):
- 2θ 10.8, rel. 90, hkl 1 0 0
- 2θ 12.6, rel. 29, hkl 1 1 1
- 2θ 16.0, rel. 100, hkl 1 -1 0
- 2θ 18.3, rel. 31, hkl 1 1 2
- 2θ 18.6, rel. 43, hkl 1 2 1
- 2θ 19.7, rel. 29, hkl 1 1 -1
- 2θ 20.9, rel. 37, hkl 2 1 1
- 2θ 23.9, rel. 38, hkl 2 1 2
- 2θ 30.1, rel. 27, hkl 2 1 3
- 2θ 33.4, rel. 23, hkl 0 3 3

***

(5)
This entry pairs a crystal structure of Tl2S10Cl with its computed powder X-ray diffraction pattern. Radiation: copper Kα. Structure: a PBE-relaxed structure.
Lines closer than 0.1° are merged.

Cell and atoms:
a = 6.1521 Å, b = 6.6173 Å, c = 20.0041 Å
α = 88.93°, β = 86.31°, γ = 89.46°
Element x y z (fractional)
Tl  0.1333  0.3130  0.0869
Tl  0.3619  0.8219  0.4142
Tl  0.6381  0.1781  0.5858
Tl  0.8667  0.6870  0.9131
S  0.0196  0.1641  0.2632
S  0.0714  0.3754  0.4152
S  0.1082  0.1025  0.5120
S  0.1552  0.7263  0.6363
S  0.2685  0.6029  0.2446
S  0.3131  0.2741  0.2671
S  0.3227  0.2071  0.8677
S  0.3882  0.6047  0.9914
S  0.4308  0.8843  0.0835
S  0.4389  0.2748  0.7609
S  0.5611  0.7252  0.2391
S  0.5692  0.1157  0.9165
S  0.6118  0.3953  0.0086
S  0.6773  0.7929  0.1323
S  0.6869  0.7259  0.7329
S  0.7315  0.3971  0.7554
S  0.8448  0.2737  0.3637
S  0.8918  0.8975  0.4880
S  0.9286  0.6246  0.5848
S  0.9804  0.8359  0.7368
Cl  0.0000  0.0000  0.0000
Cl  0.5000  0.5000  0.5000

Main lines, low angle first (10° ≤ 2θ ≤ 90°):
- 2θ 15.4, rel. 74, hkl 1 0 -1
- 2θ 16.2, rel. 35, hkl 0 1 -2
- 2θ 19.9, rel. 80, hkl 1 1 1
- 2θ 20.2, rel. 100, hkl 1 -1 1
- 2θ 22.1, rel. 54, hkl 0 1 4
- 2θ 24.5, rel. 37, hkl 1 1 -3
- 2θ 25.8, rel. 61, hkl 1 0 5
- 2θ 26.8, rel. 48, hkl 0 0 6
- 2θ 30.4, rel. 35, hkl 0 2 -3
- 2θ 30.5, rel. 37, hkl -1 1 5

***

(6)
This entry pairs a crystal structure of Tl4SCl3 with its computed powder X-ray diffraction pattern. Radiation: copper Kα. Structure: a PBE-relaxed structure.
Lines closer than 0.1° are merged.

Cell and atoms:
a = 6.2744 Å, b = 13.0198 Å, c = 6.2739 Å
α = 90.00°, β = 90.00°, γ = 90.00°
Element x y z (fractional)
Tl  0.2500  0.0114  0.2493
Tl  0.2500  0.2500  0.7496
Tl  0.2500  0.4886  0.2493
Tl  0.2500  0.7500  0.7500
Tl  0.7500  0.2500  0.2500
Tl  0.7500  0.5114  0.7507
Tl  0.7500  0.7500  0.2504
Tl  0.7500  0.9886  0.7507
S  0.2500  0.2500  0.2496
S  0.7500  0.7500  0.7504
Cl  0.2500  0.9998  0.7494
Cl  0.2500  0.5002  0.7494
Cl  0.2500  0.7500  0.2499
Cl  0.7500  0.0002  0.2506
Cl  0.7500  0.2500  0.7501
Cl  0.7500  0.4998  0.2506

Main lines, low angle first (10° ≤ 2θ ≤ 90°):
- 2θ 24.3, rel. 100, hkl 1 2 1
- 2θ 27.4, rel. 39, hkl 0 4 0
- 2θ 28.5, rel. 73, hkl 2 0 0
- 2θ 39.9, rel. 56, hkl 2 4 0
- 2θ 40.7, rel. 28, hkl 2 0 2
- 2θ 46.6, rel. 17, hkl 1 6 1
- 2θ 47.9, rel. 35, hkl 3 2 1
- 2θ 49.7, rel. 30, hkl 2 4 2
- 2θ 63.5, rel. 14, hkl 3 6 1
- 2θ 73.5, rel. 19, hkl 4 4 2

***

(7)
This entry pairs a crystal structure of TlSCl4 with its computed powder X-ray diffraction pattern. Radiation: copper Kα. Structure: a PBE-relaxed structure.
Lines closer than 0.1° are merged.

Cell and atoms:
a = 6.5798 Å, b = 6.6099 Å, c = 6.6224 Å
α = 113.41°, β = 104.57°, γ = 110.06°
Element x y z (fractional)
Tl  0.0000  0.0000  0.0000
S  0.7157  0.5020  0.2169
Cl  0.5285  0.0687  0.0192
Cl  0.5292  0.5069  0.4636
Cl  0.9529  0.9324  0.4628
Cl  0.9574  0.4952  0.0228

Main lines, low angle first (10° ≤ 2θ ≤ 90°):
- 2θ 16.1, rel. 100, hkl 1 0 0
- 2θ 16.3, rel. 56, hkl 0 0 1
- 2θ 16.5, rel. 55, hkl 1 -1 0
- 2θ 16.9, rel. 26, hkl 0 1 0
- 2θ 17.0, rel. 26, hkl 1 0 -1
- 2θ 27.8, rel. 38, hkl 1 0 1
- 2θ 28.0, rel. 37, hkl 1 -2 1
- 2θ 28.8, rel. 26, hkl 0 2 -1
- 2θ 28.9, rel. 26, hkl 2 0 -1
- 2θ 32.4, rel. 40, hkl 2 0 0

***

(8)
This entry pairs a crystal structure of TlS3Cl2 with its computed powder X-ray diffraction pattern. Radiation: copper Kα. Structure: a PBE-relaxed structure.
Lines closer than 0.1° are merged.

Cell and atoms:
a = 3.5093 Å, b = 5.1731 Å, c = 20.5893 Å
α = 82.94°, β = 89.00°, γ = 70.47°
Element x y z (fractional)
Tl  0.1928  0.3038  0.3882
Tl  0.8072  0.6962  0.6118
S  0.0066  0.5253  0.1047
S  0.3283  0.8082  0.8952
S  0.3392  0.8583  0.1052
S  0.6608  0.1417  0.8948
S  0.6717  0.1918  0.1048
S  0.9934  0.4747  0.8953
Cl  0.2008  0.7827  0.4276
Cl  0.3216  0.6455  0.7104
Cl  0.6784  0.3545  0.2896
Cl  0.7992  0.2173  0.5724

Main lines, low angle first (10° ≤ 2θ ≤ 90°):
- 2θ 17.4, rel. 100, hkl 0 0 4
- 2θ 18.3, rel. 17, hkl 0 1 1
- 2θ 19.3, rel. 71, hkl 0 1 2
- 2θ 21.2, rel. 20, hkl 0 1 3
- 2θ 21.3, rel. 20, hkl 0 1 -2
- 2θ 26.2, rel. 21, hkl 0 0 6
- 2θ 28.6, rel. 21, hkl 1 0 2
- 2θ 29.7, rel. 22, hkl 1 0 -3
- 2θ 30.3, rel. 19, hkl 1 0 3
- 2θ 34.0, rel. 18, hkl 1 1 5

***

(9)
This entry pairs a crystal structure of TlS4Cl with its computed powder X-ray diffraction pattern. Radiation: copper Kα. Structure: a PBE-relaxed structure.
Lines closer than 0.1° are merged.

Cell and atoms:
a = 4.0088 Å, b = 5.2029 Å, c = 9.2796 Å
α = 76.47°, β = 82.78°, γ = 88.92°
Element x y z (fractional)
Tl  0.0000  0.0000  0.0000
S  0.0137  0.8185  0.6609
S  0.4260  0.8659  0.5243
S  0.5265  0.3129  0.4363
S  0.9376  0.3440  0.2983
Cl  0.4991  0.4213  0.9684

Main lines, low angle first (10° ≤ 2θ ≤ 90°):
- 2θ 17.5, rel. 45, hkl 0 1 0
- 2θ 19.8, rel. 72, hkl 0 0 2
- 2θ 22.1, rel. 47, hkl 0 1 -1
- 2θ 22.4, rel. 23, hkl 1 0 0
- 2θ 23.3, rel. 100, hkl 0 1 2
- 2θ 28.7, rel. 30, hkl 1 1 0
- 2θ 29.9, rel. 26, hkl 0 0 3
- 2θ 30.6, rel. 35, hkl 1 -1 1
- 2θ 30.8, rel. 23, hkl 1 1 2
- 2θ 32.7, rel. 23, hkl 1 1 -1

***

(10)
This entry pairs a crystal structure of TlS3Cl3 with its computed powder X-ray diffraction pattern. Radiation: copper Kα. Structure: a PBE-relaxed structure.
Lines closer than 0.1° are merged.

Cell and atoms:
a = 7.7669 Å, b = 8.0318 Å, c = 8.3361 Å
α = 118.74°, β = 98.64°, γ = 98.66°
Element x y z (fractional)
Tl  0.0274  0.2682  0.0279
Tl  0.9726  0.7318  0.9721
S  0.2454  0.1606  0.4806
S  0.2476  0.8958  0.4816
S  0.2856  0.9202  0.2537
S  0.7144  0.0798  0.7463
S  0.7524  0.1042  0.5184
S  0.7546  0.8394  0.5194
Cl  0.1884  0.4611  0.8798
Cl  0.1895  0.9748  0.8806
Cl  0.2498  0.4556  0.3416
Cl  0.7502  0.5444  0.6584
Cl  0.8105  0.0252  0.1194
Cl  0.8116  0.5389  0.1202

Main lines, low angle first (10° ≤ 2θ ≤ 90°):
- 2θ 11.9, rel. 100, hkl 1 0 0
- 2θ 12.5, rel. 47, hkl 0 0 1
- 2θ 14.9, rel. 78, hkl 1 0 -1
- 2θ 19.4, rel. 23, hkl 1 0 1
- 2θ 22.4, rel. 20, hkl 0 2 -1
- 2θ 25.2, rel. 17, hkl 0 0 2
- 2θ 25.8, rel. 23, hkl 1 -2 0
- 2θ 28.2, rel. 27, hkl 1 2 -2
- 2θ 29.9, rel. 18, hkl 2 0 1
- 2θ 30.7, rel. 41, hkl 1 0 2

***

Copy entry 4 word for word.
This entry pairs a crystal structure of ThS6Cl12 with its computed powder X-ray diffraction pattern. Radiation: copper Kα. Structure: a PBE-relaxed structure.
Lines closer than 0.1° are merged.

Cell and atoms:
a = 8.6728 Å, b = 10.0164 Å, c = 10.2097 Å
α = 64.71°, β = 73.65°, γ = 73.89°
Element x y z (fractional)
Th  0.0000  0.0000  0.0000
S  0.1794  0.2509  0.1499
S  0.2073  0.0821  0.3633
S  0.4288  0.2459  0.1054
S  0.5712  0.7541  0.8946
S  0.7927  0.9179  0.6367
S  0.8206  0.7491  0.8501
Cl  0.0646  0.4452  0.1856
Cl  0.1280  0.2433  0.8074
Cl  0.1895  0.1982  0.4891
Cl  0.1999  0.8288  0.8559
Cl  0.2247  0.9386  0.1709
Cl  0.4695  0.3972  0.8958
Cl  0.5305  0.6028  0.1042
Cl  0.7753  0.0614  0.8291
Cl  0.8001  0.1712  0.1441
Cl  0.8105  0.8018  0.5109
Cl  0.8720  0.7567  0.1926
Cl  0.9354  0.5548  0.8144

Main lines, low angle first (10° ≤ 2θ ≤ 90°):
- 2θ 10.8, rel. 90, hkl 1 0 0
- 2θ 12.6, rel. 29, hkl 1 1 1
- 2θ 16.0, rel. 100, hkl 1 -1 0
- 2θ 18.3, rel. 31, hkl 1 1 2
- 2θ 18.6, rel. 43, hkl 1 2 1
- 2θ 19.7, rel. 29, hkl 1 1 -1
- 2θ 20.9, rel. 37, hkl 2 1 1
- 2θ 23.9, rel. 38, hkl 2 1 2
- 2θ 30.1, rel. 27, hkl 2 1 3
- 2θ 33.4, rel. 23, hkl 0 3 3